No. 1
The following is a computed powder diffraction line list of La3Al9Tc2. It was derived from a cell relaxed with PBE, using Cu Kα (λ = 1.5418 Å).
Peak positions follow from Bragg's law for the DFT cell and can differ from measured ones.

Most intense lines, 15 to 90 degrees two-theta, by angle:
4.067 Å, 2θ 21.85, intensity 74
3.950 Å, 2θ 22.51, intensity 18
2.636 Å, 2θ 34.01, intensity 20
2.623 Å, 2θ 34.19, intensity 100
2.604 Å, 2θ 34.44, intensity 56
2.533 Å, 2θ 35.44, intensity 37
2.442 Å, 2θ 36.81, intensity 30
2.235 Å, 2θ 40.35, intensity 38
1.696 Å, 2θ 54.07, intensity 30
1.614 Å, 2θ 57.06, intensity 17

abc: 8.4207 8.4207 8.4207
angles: 149.21 108.89 79.47
Fractional coordinates of all 14 atoms:
La  0.0000  0.0000  0.0000
La  0.3009  0.3009  0.0000
La  0.6991  0.6991  0.0000
Al  0.0062  0.6502  0.3560
Al  0.1629  0.8806  0.2823
Al  0.2942  0.6502  0.6440
Al  0.4017  0.1194  0.2823
Al  0.5000  0.0000  0.5000
Al  0.5983  0.8806  0.7177
Al  0.7058  0.3498  0.3560
Al  0.8371  0.1194  0.7177
Al  0.9938  0.3498  0.6440
Tc  0.3223  0.5000  0.8223
Tc  0.6777  0.5000  0.1777



No. 2
The following is a computed powder diffraction line list of CsCe2Tm2O7. It was derived from a cell relaxed with PBE, using Cu Kα (λ = 1.5418 Å).
Peak positions follow from Bragg's law for the DFT cell and can differ from measured ones.

Most intense lines, 15 to 90 degrees two-theta, by angle:
3.754 Å, 2θ 23.70, intensity 46
3.073 Å, 2θ 29.06, intensity 100
2.986 Å, 2θ 29.92, intensity 47
2.704 Å, 2θ 33.13, intensity 35
2.464 Å, 2θ 36.46, intensity 33
2.287 Å, 2θ 39.40, intensity 64
1.816 Å, 2θ 50.25, intensity 23
1.683 Å, 2θ 54.52, intensity 33
1.676 Å, 2θ 54.77, intensity 39
1.617 Å, 2θ 56.95, intensity 21

abc: 10.3730 10.3730 10.3730
angles: 154.53 154.53 36.33
Fractional coordinates of all 12 atoms:
Cs  0.0000  0.0000  0.0000
Ce  0.3879  0.3879  0.0000
Ce  0.6121  0.6121  0.0000
Tm  0.2500  0.7500  0.5000
Tm  0.7500  0.2500  0.5000
O  0.1381  0.6381  0.5000
O  0.2612  0.2612  0.0000
O  0.3619  0.8619  0.5000
O  0.5000  0.5000  0.0000
O  0.6381  0.1381  0.5000
O  0.7388  0.7388  0.0000
O  0.8619  0.3619  0.5000



No. 3
The following is a computed powder diffraction line list of CaPrO3. It was derived from a cell relaxed with PBE, using Cu Kα (λ = 1.5418 Å).
Peak positions follow from Bragg's law for the DFT cell and can differ from measured ones.

Most intense lines, 15 to 90 degrees two-theta, by angle:
4.400 Å, 2θ 20.18, intensity 46
4.173 Å, 2θ 21.29, intensity 15
3.162 Å, 2θ 28.23, intensity 20
3.064 Å, 2θ 29.15, intensity 17
3.028 Å, 2θ 29.50, intensity 100
2.200 Å, 2θ 41.02, intensity 25
1.946 Å, 2θ 46.69, intensity 18
1.799 Å, 2θ 50.76, intensity 20
1.762 Å, 2θ 51.90, intensity 24
1.742 Å, 2θ 52.55, intensity 13

abc: 6.3233 8.3468 6.1273
angles: 90.00 90.00 90.00
Fractional coordinates of all 20 atoms:
Ca  0.0522  0.2500  0.0196
Ca  0.4478  0.7500  0.5196
Ca  0.5522  0.2500  0.4804
Ca  0.9478  0.7500  0.9804
Pr  0.0000  0.0000  0.5000
Pr  0.0000  0.5000  0.5000
Pr  0.5000  0.0000  0.0000
Pr  0.5000  0.5000  0.0000
O  0.1061  0.7500  0.3291
O  0.2091  0.6015  0.7934
O  0.2091  0.8985  0.7934
O  0.2909  0.1015  0.2934
O  0.2909  0.3985  0.2934
O  0.3939  0.2500  0.8291
O  0.6061  0.7500  0.1709
O  0.7091  0.6015  0.7066
O  0.7091  0.8985  0.7066
O  0.7909  0.1015  0.2066
O  0.7909  0.3985  0.2066
O  0.8939  0.2500  0.6709



No. 4
The following is a computed powder diffraction line list of Cu2P8Se3Br2. It was derived from a cell relaxed with PBE, using Cu Kα (λ = 1.5418 Å).
Peak positions follow from Bragg's law for the DFT cell and can differ from measured ones.

Most intense lines, 15 to 90 degrees two-theta, by angle:
5.884 Å, 2θ 15.06, intensity 52
4.738 Å, 2θ 18.73, intensity 89
3.927 Å, 2θ 22.64, intensity 100
3.410 Å, 2θ 26.14, intensity 50
3.238 Å, 2θ 27.55, intensity 89
3.142 Å, 2θ 28.41, intensity 55
2.991 Å, 2θ 29.87, intensity 60
2.909 Å, 2θ 30.73, intensity 100
2.330 Å, 2θ 38.65, intensity 57
2.258 Å, 2θ 39.92, intensity 53

abc: 9.1715 12.9996 13.8437
angles: 90.00 90.00 90.00
Fractional coordinates of all 60 atoms:
Cu  0.0073  0.1307  0.2500
Cu  0.0073  0.3693  0.7500
Cu  0.1954  0.5818  0.7500
Cu  0.1954  0.9182  0.2500
Cu  0.8046  0.0818  0.7500
Cu  0.8046  0.4182  0.2500
Cu  0.9927  0.6307  0.2500
Cu  0.9927  0.8693  0.7500
P  0.0708  0.6981  0.1100
P  0.0708  0.6981  0.3900
P  0.0708  0.8019  0.6100
P  0.0708  0.8019  0.8900
P  0.1792  0.5785  0.0214
P  0.1792  0.5785  0.4786
P  0.1792  0.9215  0.5214
P  0.1792  0.9215  0.9786
P  0.2319  0.6692  0.6129
P  0.2319  0.6692  0.8871
P  0.2319  0.8308  0.1129
P  0.2319  0.8308  0.3871
P  0.4470  0.7450  0.5797
P  0.4470  0.7450  0.9203
P  0.4470  0.7550  0.0797
P  0.4470  0.7550  0.4203
P  0.5530  0.2450  0.5797
P  0.5530  0.2450  0.9203
P  0.5530  0.2550  0.0797
P  0.5530  0.2550  0.4203
P  0.7681  0.1692  0.6129
P  0.7681  0.1692  0.8871
P  0.7681  0.3308  0.1129
P  0.7681  0.3308  0.3871
P  0.8208  0.0785  0.0214
P  0.8208  0.0785  0.4786
P  0.8208  0.4215  0.5214
P  0.8208  0.4215  0.9786
P  0.9292  0.1981  0.1100
P  0.9292  0.1981  0.3900
P  0.9292  0.3019  0.6100
P  0.9292  0.3019  0.8900
Se  0.0994  0.2500  0.0000
Se  0.0994  0.2500  0.5000
Se  0.3938  0.5858  0.1060
Se  0.3938  0.5858  0.3940
Se  0.3938  0.9142  0.6060
Se  0.3938  0.9142  0.8940
Se  0.6062  0.0858  0.1060
Se  0.6062  0.0858  0.3940
Se  0.6062  0.4142  0.6060
Se  0.6062  0.4142  0.8940
Se  0.9006  0.7500  0.0000
Se  0.9006  0.7500  0.5000
Br  0.0777  0.0538  0.7500
Br  0.0777  0.4462  0.2500
Br  0.2745  0.1001  0.2500
Br  0.2745  0.3999  0.7500
Br  0.7255  0.6001  0.2500
Br  0.7255  0.8999  0.7500
Br  0.9223  0.5538  0.7500
Br  0.9223  0.9462  0.2500



No. 5
The following is a computed powder diffraction line list of TiNb4S8. It was derived from a cell relaxed with PBE, using Cu Kα (λ = 1.5418 Å).
Peak positions follow from Bragg's law for the DFT cell and can differ from measured ones.

Most intense lines, 15 to 90 degrees two-theta, by angle:
2.900 Å, 2θ 30.84, intensity 35
2.823 Å, 2θ 31.69, intensity 19
2.625 Å, 2θ 34.15, intensity 71
2.372 Å, 2θ 37.94, intensity 13
2.115 Å, 2θ 42.75, intensity 100
1.680 Å, 2θ 54.63, intensity 16
1.674 Å, 2θ 54.84, intensity 35
1.616 Å, 2θ 56.99, intensity 14
1.313 Å, 2θ 71.93, intensity 20
1.136 Å, 2θ 85.49, intensity 19

abc: 6.6968 6.6968 12.3674
angles: 90.00 90.00 120.00
Fractional coordinates of all 26 atoms:
Ti  0.0000  0.0000  0.0000
Ti  0.0000  0.0000  0.5000
Nb  0.0000  0.0000  0.2500
Nb  0.0000  0.0000  0.7500
Nb  0.0105  0.5052  0.2500
Nb  0.4948  0.5052  0.2500
Nb  0.4948  0.9895  0.2500
Nb  0.5052  0.0105  0.7500
Nb  0.5052  0.4948  0.7500
Nb  0.9895  0.4948  0.7500
S  0.1668  0.3336  0.6218
S  0.1668  0.3336  0.8782
S  0.1668  0.8332  0.6218
S  0.1668  0.8332  0.8782
S  0.3333  0.6667  0.1208
S  0.3333  0.6667  0.3792
S  0.3336  0.1668  0.1218
S  0.3336  0.1668  0.3782
S  0.6664  0.8332  0.6218
S  0.6664  0.8332  0.8782
S  0.6667  0.3333  0.6208
S  0.6667  0.3333  0.8792
S  0.8332  0.1668  0.1218
S  0.8332  0.1668  0.3782
S  0.8332  0.6664  0.1218
S  0.8332  0.6664  0.3782



No. 6
The following is a computed powder diffraction line list of KSbPb. It was derived from a cell relaxed with PBE, using Cu Kα (λ = 1.5418 Å).
Peak positions follow from Bragg's law for the DFT cell and can differ from measured ones.

Most intense lines, 15 to 90 degrees two-theta, by angle:
4.487 Å, 2θ 19.78, intensity 20
3.430 Å, 2θ 25.98, intensity 61
2.795 Å, 2θ 32.02, intensity 100
2.659 Å, 2θ 33.71, intensity 49
2.534 Å, 2θ 35.42, intensity 26
2.240 Å, 2θ 40.26, intensity 25
1.880 Å, 2θ 48.41, intensity 17
1.649 Å, 2θ 55.76, intensity 15
1.643 Å, 2θ 55.95, intensity 13
1.560 Å, 2θ 59.23, intensity 37

abc: 5.3179 5.3179 8.3626
angles: 90.00 90.00 90.00
Fractional coordinates of all 6 atoms:
K  0.2500  0.2500  0.1541
K  0.7500  0.7500  0.8459
Sb  0.2500  0.2500  0.7244
Sb  0.7500  0.7500  0.2756
Pb  0.2500  0.7500  0.5000
Pb  0.7500  0.2500  0.5000